Record 1
This entry pairs a crystal structure of ZrCoTe4 with its simulated powder XRD pattern. Radiation: Cu Kα, 1.54184 Å. Structure: a cell relaxed with PBE.
Intensities are scaled so that the largest is 100.

Atomic structure:
a b c (Å): 3.7331 15.2499 11.6733
angles (deg): 90.00 90.00 90.00
Space group Cmc2_1 (No. 36)
One atom of each set of equivalent atoms:
1 Zr 0.0000 0.1555 0.0000 (multiplicity 4)
2 Co 0.0000 0.2461 0.2520 (multiplicity 4)
3 Te 0.0000 0.1421 0.7396 (multiplicity 4)
4 Te 0.0000 0.1998 0.4581 (multiplicity 4)
5 Te 0.0000 0.3633 0.7048 (multiplicity 4)
6 Te 0.0000 0.4857 0.4448 (multiplicity 4)

Largest 12 diffraction maxima, by angle, 2θ from 10° to 90°:
| d [Å] | I/Imax | hkl |
| --- | --- | --- |
| 7.625 | 32 | 0 2 0 |
| 3.463 | 23 | 1 1 1 |
| 3.192 | 40 | 0 4 2 |
| 3.009 | 50 | 1 3 0 |
| 2.917 | 100 | 0 0 4 |
| 2.674 | 61 | 1 3 2 |
| 2.653 | 28 | 1 1 3 |
| 2.315 | 52 | 1 5 1 |
| 2.095 | 24 | 1 3 4 |
| 2.019 | 28 | 1 5 3 |
| 1.867 | 25 | 2 0 0 |
| 1.572 | 21 | 2 0 4 |


Record 2
This entry pairs a crystal structure of TbSmBrNCl2 with its simulated powder XRD pattern. Radiation: Cu Kα, 1.54184 Å. Structure: a cell relaxed with PBE.
Intensities are scaled so that the largest is 100.

Atomic structure:
a b c (Å): 16.4124 3.9342 10.9606
angles (deg): 90.00 120.18 90.00
Space group C2/m (No. 12)
One atom of each set of equivalent atoms:
1 Tb 0.0845 0.0000 0.4553 (multiplicity 4)
2 Sm 0.1354 0.5000 0.7862 (multiplicity 4)
3 Br 0.1565 0.0000 0.0173 (multiplicity 4)
4 N 0.0739 0.0000 0.6521 (multiplicity 4)
5 Cl 0.0507 0.5000 0.2587 (multiplicity 4)
6 Cl 0.2174 0.5000 0.6074 (multiplicity 4)

Largest 12 diffraction maxima, by angle, 2θ from 10° to 90°:
| d [Å] | I/Imax | hkl |
| --- | --- | --- |
| 7.893 | 100 | 2 0 -1 |
| 3.547 | 30 | 4 0 0 |
| 3.367 | 52 | 1 1 1 |
| 3.175 | 52 | 1 1 -2 |
| 3.029 | 18 | 3 1 -2 |
| 2.783 | 40 | 1 1 2 |
| 2.691 | 33 | 4 0 -4 |
| 2.625 | 34 | 6 0 -1 |
| 2.511 | 31 | 5 1 -2 |
| 2.247 | 23 | 3 1 -4 |
| 2.053 | 24 | 5 1 1 |
| 1.967 | 20 | 0 2 0 |


Record 3
This entry pairs a crystal structure of Sm2InCuNi with its simulated powder XRD pattern. Radiation: Cu Kα, 1.54184 Å. Structure: a cell relaxed with PBE.
Intensities are scaled so that the largest is 100.

Atomic structure:
a b c (Å): 3.7228 4.1135 14.4342
angles (deg): 90.00 90.00 90.00
Space group Amm2 (No. 38)
One atom of each set of equivalent atoms:
1 Sm 0.0000 0.0000 0.0000 (multiplicity 2)
2 Sm 0.0000 0.0000 0.2699 (multiplicity 2)
3 In 0.5000 0.0000 0.6380 (multiplicity 2)
4 Cu 0.5000 0.0000 0.4346 (multiplicity 2)
5 Ni 0.5000 0.0000 0.8370 (multiplicity 2)

Largest 12 diffraction maxima, by angle, 2θ from 10° to 90°:
| d [Å] | I/Imax | hkl |
| --- | --- | --- |
| 3.127 | 38 | 0 1 3 |
| 2.711 | 100 | 1 1 1 |
| 2.591 | 71 | 1 0 4 |
| 2.394 | 32 | 1 1 3 |
| 2.363 | 40 | 0 1 5 |
| 2.057 | 27 | 0 2 0 |
| 1.861 | 20 | 2 0 0 |
| 1.652 | 16 | 1 1 7 |
| 1.611 | 33 | 1 2 4 |
| 1.599 | 11 | 2 1 3 |
| 1.462 | 17 | 2 1 5 |
| 1.380 | 14 | 2 2 0 |


Record 4
This entry pairs a crystal structure of AlMo4PN2 with its simulated powder XRD pattern. Radiation: Cu Kα, 1.54184 Å. Structure: a cell relaxed with PBE.
Intensities are scaled so that the largest is 100.

Atomic structure:
a b c (Å): 2.9342 2.9342 13.5247
angles (deg): 90.00 90.00 120.00
Space group P-6m2 (No. 187)
One atom of each set of equivalent atoms:
1 Al 0.0000 0.0000 0.0000 (multiplicity 1)
2 Mo 0.0000 0.0000 0.3651 (multiplicity 2)
3 Mo 0.6667 0.3333 0.1634 (multiplicity 2)
4 P 0.6667 0.3333 0.5000 (multiplicity 1)
5 N 0.3333 0.6667 0.2615 (multiplicity 2)

Largest 12 diffraction maxima, by angle, 2θ from 10° to 90°:
| d [Å] | I/Imax | hkl |
| --- | --- | --- |
| 6.762 | 15 | 0 0 2 |
| 3.381 | 19 | 0 0 4 |
| 2.541 | 23 | 1 0 0 |
| 2.497 | 25 | 1 0 1 |
| 2.254 | 12 | 0 0 6 |
| 2.214 | 100 | 1 0 3 |
| 2.031 | 16 | 1 0 4 |
| 1.686 | 14 | 1 0 6 |
| 1.538 | 11 | 1 0 7 |
| 1.467 | 22 | 1 1 0 |
| 1.230 | 12 | 1 1 6 |
| 1.223 | 14 | 2 0 3 |


Record 5
This entry pairs a crystal structure of KSrTm with its simulated powder XRD pattern. Radiation: Cu Kα, 1.54184 Å. Structure: a cell relaxed with PBE.
Intensities are scaled so that the largest is 100.

Atomic structure:
a b c (Å): 8.7264 8.7264 8.7264
angles (deg): 90.00 90.00 90.00
Space group F-43m (No. 216)
One atom of each set of equivalent atoms:
1 K 0.0000 0.0000 0.0000 (multiplicity 4)
2 Sr 0.2500 0.2500 0.7500 (multiplicity 4)
3 Tm 0.2500 0.2500 0.2500 (multiplicity 4)

Largest 12 diffraction maxima, by angle, 2θ from 10° to 90°:
| d [Å] | I/Imax | hkl |
| --- | --- | --- |
| 5.038 | 20 | 1 1 1 |
| 4.363 | 61 | 2 0 0 |
| 3.085 | 100 | 2 2 0 |
| 2.631 | 12 | 3 1 1 |
| 2.519 | 20 | 2 2 2 |
| 2.182 | 19 | 4 0 0 |
| 1.951 | 29 | 4 2 0 |
| 1.781 | 40 | 4 2 2 |
| 1.543 | 12 | 4 4 0 |
| 1.454 | 14 | 6 0 0 |
| 1.380 | 17 | 6 2 0 |
| 1.166 | 20 | 6 4 2 |